This entry pairs a crystal structure of Er2Mo3H2Se2O17 with its calculated XRD peak list. Radiation: Cu Kα (λ = 1.5418 Å). Structure: a cell relaxed with PBE+U.

Main lines, in order of falling intensity (2θ from 10° to 90°):
d [Å]  2θ/deg  I (rel.)  hkl
3.528  25.25  100  0 0 4
3.356  26.56  99  2 0 0
2.749  32.57  66  1 2 -3
3.177  28.09  65  1 2 -1
4.702  18.87  64  0 0 3
5.069  17.50  55  0 1 2

Crystal structure
```
data_Er2Mo3H2Se2O17
_cell_length_a 6.8045
_cell_length_b 7.2890
_cell_length_c 14.2985
_cell_angle_alpha 90.00
_cell_angle_beta 99.39
_cell_angle_gamma 90.00
_space_group_name_H-M_alt 'P 1 21/m 1'
_space_group_IT_number 11
loop_
_space_group_symop_operation_xyz
'x,y,z'
'-x,-y,-z'
'-x,y+1/2,-z'
'x,-y+1/2,z'
loop_
_atom_site_label
_atom_site_type_symbol
_atom_site_fract_x
_atom_site_fract_y
_atom_site_fract_z
_atom_site_occupancy
Er1 Er 0.1176 0.2500 0.0378 1
Er2 Er 0.2404 0.7500 0.3773 1
Mo1 Mo 0.2941 0.0038 0.6363 1
Mo2 Mo 0.3644 0.7500 0.8328 1
H1 H 0.2552 0.1431 0.8556 1
Se1 Se 0.2420 0.2500 0.3063 1
Se2 Se 0.2858 0.7500 0.1178 1
O1 O 0.0480 0.0750 0.6408 1
O2 O 0.1218 0.7500 0.8640 1
O3 O 0.1447 0.5732 0.0557 1
O4 O 0.2063 0.7500 0.2250 1
O5 O 0.2082 0.2500 0.8891 1
O6 O 0.2681 0.7500 0.6770 1
O7 O 0.2715 0.5683 0.5171 1
O8 O 0.3031 0.2500 0.1949 1
O9 O 0.3716 0.5032 0.7861 1
O10 O 0.3789 0.0598 0.3548 1
O11 O 0.4124 0.2500 0.6285 1
O12 O 0.4791 0.2500 0.0553 1
```